For NpAl2Au5, a structure optimized by DFT (GGA-PBE) gives the theoretical powder diffraction line list in this record (Cu Kα, 1.54184 Å).
Kinematic intensities with the Lorentz-polarization factor, no thermal factor.

Structure:
```
16
Lattice="4.0333 0.0000 0.0000 0.0000 7.2751 0.0000 0.0000 0.0000 10.7950" Properties=species:S:1:pos:R:3 pbc="T T T"
Np 0.0000 0.0000 0.0000
Np 2.0166 3.6376 5.3975
Al 0.0000 3.6376 2.6150
Al 0.0000 3.6376 8.1799
Al 2.0166 0.0000 2.7825
Al 2.0166 0.0000 8.0125
Au 0.0000 1.5198 3.9214
Au 0.0000 1.5198 6.8736
Au 0.0000 3.6376 0.0000
Au 0.0000 5.7554 3.9214
Au 0.0000 5.7554 6.8736
Au 2.0166 0.0000 5.3975
Au 2.0166 2.1178 1.4761
Au 2.0166 2.1178 9.3189
Au 2.0166 5.1573 1.4761
Au 2.0166 5.1573 9.3189
```

Main lines, low angle first (2θ = 5–70°):
| two_theta | I_rel |
| --- | --- |
| 16.42 | 12.0 |
| 29.61 | 21.1 |
| 33.37 | 81.7 |
| 34.22 | 100.0 |
| 41.67 | 49.2 |
| 43.55 | 11.0 |
| 44.95 | 24.8 |
| 47.78 | 14.9 |
| 50.16 | 8.8 |
| 61.59 | 14.2 |
| 62.95 | 29.5 |
| 69.64 | 12.2 |


For MgCo4Br, a structure optimized by DFT (GGA-PBE) gives the theoretical powder diffraction line list in this record (Cu Kα, 1.54184 Å).
Kinematic intensities with the Lorentz-polarization factor, no thermal factor.

Structure:
```
6
Lattice="0.0000 3.4977 3.4977 3.4977 0.0000 3.4977 3.4977 3.4977 0.0000" Properties=species:S:1:pos:R:3 pbc="T T T"
Mg 0.0000 0.0000 0.0000
Co 2.6204 2.6204 2.6204
Co 4.3750 4.3750 2.6204
Co 4.3750 2.6204 4.3750
Co 2.6204 4.3750 4.3750
Br 5.2466 5.2466 5.2466
```

Main lines, low angle first (2θ = 5–70°):
| two_theta | I_rel |
| --- | --- |
| 22.01 | 18.5 |
| 25.47 | 8.3 |
| 36.32 | 22.5 |
| 42.88 | 100.0 |
| 44.89 | 45.0 |
| 52.31 | 6.2 |
| 57.42 | 3.7 |
| 59.06 | 2.8 |
| 65.35 | 7.7 |
| 69.87 | 28.7 |


For PmSm2Cd5, a structure optimized by DFT (GGA-PBE) gives the theoretical powder diffraction line list in this record (Cu Kα, 1.54184 Å).
Kinematic intensities with the Lorentz-polarization factor, no thermal factor.

Structure:
```
16
Lattice="5.2069 0.0000 0.0000 0.0000 5.2069 0.0000 0.0000 0.0000 15.3294" Properties=species:S:1:pos:R:3 pbc="T T T"
Pm 0.0000 0.0000 0.0000
Pm 2.6034 2.6034 7.6647
Sm 0.0000 0.0000 4.0472
Sm 0.0000 0.0000 11.2822
Sm 2.6034 2.6034 3.6175
Sm 2.6034 2.6034 11.7119
Cd 0.0000 0.0000 7.6647
Cd 0.0000 2.6034 1.8188
Cd 0.0000 2.6034 5.8458
Cd 0.0000 2.6034 9.4835
Cd 0.0000 2.6034 13.5105
Cd 2.6034 0.0000 1.8188
Cd 2.6034 0.0000 5.8458
Cd 2.6034 0.0000 9.4835
Cd 2.6034 0.0000 13.5105
Cd 2.6034 2.6034 0.0000
```

Main lines, low angle first (2θ = 5–70°):
| two_theta | I_rel |
| --- | --- |
| 24.17 | 1.2 |
| 24.41 | 2.8 |
| 33.76 | 100.0 |
| 34.45 | 49.7 |
| 42.67 | 1.3 |
| 44.90 | 1.9 |
| 47.45 | 8.2 |
| 49.51 | 17.5 |
| 57.80 | 1.9 |
| 59.94 | 15.9 |
| 61.27 | 34.5 |
| 69.87 | 1.0 |


For Ho6US8, a structure optimized by DFT (GGA-PBE) gives the theoretical powder diffraction line list in this record (Cu Kα, 1.54184 Å).
Kinematic intensities with the Lorentz-polarization factor, no thermal factor.

Structure:
```
15
Lattice="0.0000 5.4864 5.4864 5.4864 0.0000 5.4864 5.4864 5.4864 0.0000" Properties=species:S:1:pos:R:3 pbc="T T T"
Ho 2.7432 2.7432 0.0000
Ho 2.7432 0.0000 2.7432
Ho 5.4864 2.7432 2.7432
Ho 0.0000 2.7432 2.7432
Ho 2.7432 5.4864 2.7432
Ho 2.7432 2.7432 5.4864
U 0.0000 0.0000 0.0000
S 2.7432 2.7432 2.7432
S 5.4864 5.4864 2.7764
S 5.4864 2.7764 5.4864
S 8.1963 5.4864 5.4864
S 2.7764 5.4864 5.4864
S 5.4864 8.1963 5.4864
S 5.4864 5.4864 8.1963
S 8.2295 8.2295 8.2295
```

Main lines, low angle first (2θ = 5–70°):
| two_theta | I_rel |
| --- | --- |
| 13.98 | 22.3 |
| 26.95 | 15.6 |
| 28.17 | 77.6 |
| 32.64 | 100.0 |
| 35.67 | 8.0 |
| 42.82 | 5.9 |
| 46.84 | 72.0 |
| 49.12 | 6.0 |
| 55.55 | 38.3 |
| 58.26 | 25.0 |
| 65.32 | 4.3 |
| 68.40 | 11.6 |


For RbInAs2O8, a structure optimized by DFT (GGA-PBE) gives the theoretical powder diffraction line list in this record (Cu Kα, 1.54184 Å).
Kinematic intensities with the Lorentz-polarization factor, no thermal factor.

Structure:
```
12
Lattice="2.6490 1.5294 8.6733 -2.6490 1.5294 8.6733 0.0000 -3.0588 8.6733" Properties=species:S:1:pos:R:3 pbc="T T T"
Rb 0.0000 0.0000 0.0000
In 0.0000 0.0000 13.0100
As 0.0000 0.0000 6.1637
As 0.0000 0.0000 19.8562
O -1.0037 -1.4114 11.6901
O -0.7205 -1.5750 14.3298
O 0.0000 0.0000 7.8702
O -0.7205 1.5750 11.6901
O -1.0037 1.4114 14.3298
O 0.0000 0.0000 18.1497
O 1.7242 -0.1636 11.6901
O 1.7242 0.1636 14.3298
```

Main lines, low angle first (2θ = 5–70°):
| two_theta | I_rel |
| --- | --- |
| 10.20 | 16.8 |
| 23.73 | 100.0 |
| 30.95 | 6.9 |
| 33.82 | 60.4 |
| 39.86 | 6.7 |
| 41.74 | 20.0 |
| 43.02 | 4.3 |
| 48.56 | 10.3 |
| 54.75 | 31.2 |
| 60.39 | 3.2 |
| 60.52 | 20.4 |
| 64.17 | 4.2 |


For CsNa2Sn2I7, a structure optimized by DFT (GGA-PBE) gives the theoretical powder diffraction line list in this record (Cu Kα, 1.54184 Å).
Kinematic intensities with the Lorentz-polarization factor, no thermal factor.

Structure:
```
12
Lattice="-3.1910 12.7815 3.2079 3.1910 -12.7815 3.2079 3.1910 12.7815 -3.2079" Properties=species:S:1:pos:R:3 pbc="T T T"
Cs 0.0000 0.0000 0.0000
Na 3.1910 6.3924 -0.0873
Na 0.0000 6.3891 3.1206
Sn 3.1910 -3.1235 3.1966
Sn 3.1910 3.1235 3.1966
I 3.1910 3.0768 -0.1633
I 3.1910 -6.3109 3.1194
I 3.1910 9.6951 -0.1145
I 3.1910 0.0000 3.0391
I 0.0000 3.0864 3.0934
I 3.1910 6.3109 3.1194
I 0.0000 9.7047 3.0446
```

Main lines, low angle first (2θ = 5–70°):
| two_theta | I_rel |
| --- | --- |
| 14.27 | 17.7 |
| 24.10 | 89.5 |
| 27.81 | 50.6 |
| 27.94 | 100.0 |
| 39.83 | 75.6 |
| 39.93 | 38.1 |
| 47.01 | 14.3 |
| 47.18 | 27.0 |
| 49.36 | 40.1 |
| 57.75 | 12.5 |
| 65.08 | 16.9 |
| 65.34 | 25.5 |


For Sc6Ga2Rh, a structure optimized by DFT (GGA-PBE) gives the theoretical powder diffraction line list in this record (Cu Kα, 1.54184 Å).
Kinematic intensities with the Lorentz-polarization factor, no thermal factor.

Structure:
```
18
Lattice="-4.4295 4.5341 4.6270 4.4295 -4.5341 4.6270 4.4295 4.5341 -4.6270" Properties=species:S:1:pos:R:3 pbc="T T T"
Sc 4.4295 2.9781 -2.6051
Sc 2.8737 0.0000 2.4059
Sc 5.9853 0.0000 2.4059
Sc 2.7715 2.4007 0.0000
Sc 6.0874 2.4007 0.0000
Sc 0.0000 1.5559 2.0219
Sc 4.4295 2.9781 2.6051
Sc -1.6579 2.1333 4.6270
Sc 1.6579 2.1333 4.6270
Sc -1.5558 4.5341 2.2211
Sc 1.5558 4.5341 2.2211
Sc 0.0000 1.5559 7.2321
Ga 1.3349 0.0000 0.0000
Ga 7.5241 0.0000 0.0000
Ga 0.0000 3.3083 0.0000
Ga 0.0000 5.7598 0.0000
Rh 4.4295 0.0000 0.0000
Rh 0.0000 0.0000 4.6270
```

Main lines, low angle first (2θ = 5–70°):
| two_theta | I_rel |
| --- | --- |
| 19.18 | 49.8 |
| 19.58 | 24.5 |
| 20.05 | 26.5 |
| 34.30 | 89.0 |
| 36.93 | 75.4 |
| 37.47 | 81.3 |
| 37.63 | 100.0 |
| 38.93 | 68.7 |
| 42.30 | 27.3 |
| 47.08 | 32.3 |
| 51.80 | 25.8 |
| 62.69 | 29.0 |


For LaPmTm2, a structure optimized by DFT (GGA-PBE) gives the theoretical powder diffraction line list in this record (Cu Kα, 1.54184 Å).
Kinematic intensities with the Lorentz-polarization factor, no thermal factor.

Structure:
```
16
Lattice="6.3005 0.0000 0.0000 0.0000 7.3054 0.0000 -0.0103 0.0000 11.5170" Properties=species:S:1:pos:R:3 pbc="T T T"
La 1.0640 0.0024 4.3230
La 1.0588 7.3030 10.0815
La 5.2314 0.0024 1.4355
La 5.2263 7.3030 7.1941
Pm 2.1045 1.8627 1.4136
Pm 2.0993 5.4428 7.1722
Pm 4.1909 1.8627 4.3449
Pm 4.1858 5.4428 10.1034
Tm 1.0377 3.6491 4.3188
Tm 1.0326 3.6563 10.0773
Tm 2.0826 1.8979 7.2209
Tm 2.0877 5.4076 1.4624
Tm 4.2025 1.8979 10.0547
Tm 4.2077 5.4076 4.2962
Tm 5.2577 3.6491 1.4397
Tm 5.2526 3.6563 7.1982
```

Main lines, low angle first (2θ = 5–70°):
| two_theta | I_rel |
| --- | --- |
| 28.27 | 23.6 |
| 31.06 | 24.8 |
| 32.34 | 100.0 |
| 42.49 | 15.8 |
| 49.94 | 6.5 |
| 50.10 | 13.1 |
| 56.07 | 21.0 |
| 59.98 | 7.5 |
| 60.13 | 15.1 |
| 60.79 | 10.7 |
| 60.98 | 5.6 |
| 64.76 | 3.0 |